Structure and calculated powder diffractogram of AgBF5 (DFT lattice parameters and positions (PBE); Cu Ka).

Principal peaks in the range 10 to 80 degrees two-theta, sorted by position:
18.39 deg, I 63.3; 25.29 deg, I 85.6; 26.12 deg, I 100.0; 36.67 deg, I 29.0; 41.87 deg, I 54.3; 45.58 deg, I 31.3

Crystal structure
Lattice parameters (Å, degrees): 6.823 6.823 4.113 90.00 90.00 90.00
Atoms (fractional coordinates):
1 Ag 0.250 0.250 0.177
2 Ag 0.750 0.750 0.823
3 B 0.250 0.750 0.000
4 B 0.750 0.250 0.000
5 F 0.092 0.813 0.802
6 F 0.187 0.592 0.198
7 F 0.250 0.250 0.678
8 F 0.313 0.908 0.198
9 F 0.408 0.687 0.802
10 F 0.592 0.313 0.198
11 F 0.687 0.092 0.802
12 F 0.750 0.750 0.322
13 F 0.813 0.408 0.802
14 F 0.908 0.187 0.198

Structure and calculated powder diffractogram of AgB3F12 (DFT lattice parameters and positions (PBE); Cu Ka).

Principal peaks in the range 10 to 80 degrees two-theta, sorted by position:
14.50 deg, I 100.0; 19.54 deg, I 34.5; 24.37 deg, I 19.7; 31.46 deg, I 28.9; 34.04 deg, I 19.6; 45.58 deg, I 23.7

Crystal structure
Lattice parameters (Å, degrees): 9.180 9.180 9.180 53.44 53.44 53.44
Atoms (fractional coordinates):
1 Ag 0.000 0.000 0.000
2 Ag 0.500 0.500 0.500
3 B 0.111 0.381 0.675
4 B 0.175 0.881 0.611
5 B 0.381 0.675 0.111
6 B 0.611 0.175 0.881
7 B 0.675 0.111 0.381
8 B 0.881 0.611 0.175
9 F 0.002 0.286 0.887
10 F 0.069 0.489 0.111
11 F 0.083 0.765 0.681
12 F 0.111 0.069 0.489
13 F 0.181 0.265 0.583
14 F 0.181 0.871 0.774
15 F 0.265 0.583 0.181
16 F 0.274 0.371 0.681
17 F 0.286 0.887 0.002
18 F 0.371 0.681 0.274
19 F 0.387 0.786 0.502
20 F 0.489 0.111 0.069
21 F 0.502 0.387 0.786
22 F 0.569 0.611 0.989
23 F 0.583 0.181 0.265
24 F 0.611 0.989 0.569
25 F 0.681 0.083 0.765
26 F 0.681 0.274 0.371
27 F 0.765 0.681 0.083
28 F 0.774 0.181 0.871
29 F 0.786 0.502 0.387
30 F 0.871 0.774 0.181
31 F 0.887 0.002 0.286
32 F 0.989 0.569 0.611

Structure and calculated powder diffractogram of Ag5B2F12 (DFT lattice parameters and positions (PBE); Cu Ka).

Principal peaks in the range 10 to 80 degrees two-theta, sorted by position:
12.69 deg, I 91.5; 21.01 deg, I 90.1; 26.61 deg, I 100.0; 27.93 deg, I 94.8; 29.33 deg, I 90.7; 31.82 deg, I 76.9

Crystal structure
Lattice parameters (Å, degrees): 6.535 6.931 7.712 67.21 73.77 73.50
Atoms (fractional coordinates):
1 Ag 0.000 0.000 0.000
2 Ag 0.172 0.372 0.200
3 Ag 0.465 0.779 0.219
4 Ag 0.535 0.221 0.781
5 Ag 0.828 0.628 0.800
6 B 0.358 0.756 0.656
7 B 0.642 0.244 0.344
8 F 0.139 0.703 0.193
9 F 0.235 0.892 0.516
10 F 0.238 0.130 0.049
11 F 0.249 0.585 0.783
12 F 0.388 0.867 0.765
13 F 0.434 0.336 0.433
14 F 0.566 0.664 0.567
15 F 0.612 0.133 0.235
16 F 0.751 0.415 0.217
17 F 0.762 0.870 0.951
18 F 0.765 0.108 0.484
19 F 0.861 0.297 0.807